Calculated powder diffractogram
Compound: ReNi8Pt3
Radiation: Cu Kα (weighted mean of Kα1 and Kα2)
Structure: a structure optimized by DFT (PBE)
Kinematic intensities with the Lorentz-polarization factor, no thermal factor.

Peak list (12 most intense, 2θ = 5–70°, sorted by position)
d 5.432, 16.3°, I 9
d 3.841, 23.2°, I 45
d 3.470, 25.7°, I 15
d 2.924, 30.6°, I 47
d 2.716, 33.0°, I 38
d 1.990, 45.6°, I 100
d 1.735, 52.8°, I 12
d 1.718, 53.3°, I 24
d 1.581, 58.4°, I 8
d 1.462, 63.6°, I 11
d 1.382, 67.8°, I 16
d 1.358, 69.2°, I 7

Cell and atoms:
Lattice parameters (Å, degrees): 6.4458 6.4458 6.4458 106.85 106.85 114.85
Atoms (fractional coordinates):
1 Re 0.0000 0.0000 0.0000
2 Ni 0.0853 0.0853 0.6946
3 Ni 0.0853 0.3907 0.0000
4 Ni 0.3907 0.0853 0.0000
5 Ni 0.3907 0.3907 0.3054
6 Ni 0.6093 0.6093 0.6946
7 Ni 0.6093 0.9147 0.0000
8 Ni 0.9147 0.6093 0.0000
9 Ni 0.9147 0.9147 0.3054
10 Pt 0.2500 0.7500 0.5000
11 Pt 0.5000 0.5000 0.0000
12 Pt 0.7500 0.2500 0.5000